This entry pairs a crystal structure of Cd2In5Bi5 with its computed powder X-ray diffraction pattern. Radiation: Cu Kα (weighted mean of Kα1 and Kα2). Structure: a GGA-PBE-relaxed structure.
Peak positions follow from Bragg's law for the DFT cell and can differ from measured ones.

```
Cd2In5Bi5
1.0
5.447 0.000 0.000
2.709 8.224 0.000
2.646 2.309 7.933
Cd In Bi
2 5 5
Direct
0.192 0.473 0.143 Cd
0.808 0.527 0.857 Cd
0.314 0.010 0.362 In
0.425 0.244 0.905 In
0.500 0.500 0.500 In
0.575 0.756 0.095 In
0.686 0.990 0.638 In
0.000 0.000 0.000 Bi
0.040 0.290 0.630 Bi
0.249 0.735 0.763 Bi
0.751 0.265 0.237 Bi
0.960 0.710 0.370 Bi
```

Largest 10 diffraction maxima, by angle, 2θ from 15° to 90°:
3.296 Å, 2θ = 27.05°, I = 36
2.830 Å, 2θ = 31.62°, I = 100
2.814 Å, 2θ = 31.80°, I = 99
2.749 Å, 2θ = 32.57°, I = 63
2.724 Å, 2θ = 32.89°, I = 94
2.715 Å, 2θ = 33.00°, I = 65
2.704 Å, 2θ = 33.13°, I = 66
2.140 Å, 2θ = 42.24°, I = 33
1.974 Å, 2θ = 45.97°, I = 26
1.598 Å, 2θ = 57.67°, I = 26

This entry pairs a crystal structure of CdIn5Bi4 with its computed powder X-ray diffraction pattern. Radiation: Cu Kα (weighted mean of Kα1 and Kα2). Structure: a GGA-PBE-relaxed structure.
Peak positions follow from Bragg's law for the DFT cell and can differ from measured ones.

```
CdIn5Bi4
1.0
5.337 0.000 0.000
0.000 3.397 0.000
-0.012 0.000 16.325
Cd In Bi
1 5 4
Direct
0.000 0.000 0.000 Cd
0.500 0.500 0.099 In
0.500 0.500 0.299 In
0.500 0.500 0.500 In
0.500 0.500 0.701 In
0.500 0.500 0.901 In
0.000 0.000 0.190 Bi
0.000 0.000 0.397 Bi
0.000 0.000 0.603 Bi
0.000 0.000 0.810 Bi
```

Largest 10 diffraction maxima, by angle, 2θ from 15° to 90°:
2.866 Å, 2θ = 31.21°, I = 100
2.785 Å, 2θ = 32.14°, I = 90
2.668 Å, 2θ = 33.59°, I = 41
2.354 Å, 2θ = 38.23°, I = 56
1.766 Å, 2θ = 51.78°, I = 24
1.765 Å, 2θ = 51.81°, I = 23
1.576 Å, 2θ = 58.58°, I = 17
1.562 Å, 2θ = 59.15°, I = 16
1.450 Å, 2θ = 64.23°, I = 25
1.419 Å, 2θ = 65.84°, I = 22

This entry pairs a crystal structure of Cd5In2Bi2 with its computed powder X-ray diffraction pattern. Radiation: Cu Kα (weighted mean of Kα1 and Kα2). Structure: a GGA-PBE-relaxed structure.
Peak positions follow from Bragg's law for the DFT cell and can differ from measured ones.

```
Cd5In2Bi2
1.0
7.954 -5.703 0.000
7.954 5.703 0.000
-1.990 0.000 5.291
Cd In Bi
10 4 4
Direct
0.051 0.051 0.303 Cd
0.148 0.149 0.902 Cd
0.251 0.249 0.500 Cd
0.354 0.348 0.099 Cd
0.451 0.447 0.697 Cd
0.553 0.549 0.303 Cd
0.652 0.646 0.901 Cd
0.751 0.749 0.500 Cd
0.851 0.852 0.098 Cd
0.949 0.949 0.697 Cd
0.126 0.624 0.853 In
0.376 0.874 0.147 In
0.623 0.121 0.395 In
0.879 0.377 0.605 In
0.005 0.504 0.226 Bi
0.251 0.749 0.500 Bi
0.496 0.995 0.774 Bi
0.751 0.249 0.000 Bi
```

Largest 10 diffraction maxima, by angle, 2θ from 15° to 90°:
3.000 Å, 2θ = 29.78°, I = 90
2.852 Å, 2θ = 31.37°, I = 72
2.639 Å, 2θ = 33.97°, I = 12
2.533 Å, 2θ = 35.45°, I = 100
2.407 Å, 2θ = 37.36°, I = 50
2.395 Å, 2θ = 37.56°, I = 21
2.389 Å, 2θ = 37.65°, I = 26
1.838 Å, 2θ = 49.59°, I = 11
1.577 Å, 2θ = 58.51°, I = 23
1.542 Å, 2θ = 60.01°, I = 12

This entry pairs a crystal structure of CdIn7Bi5 with its computed powder X-ray diffraction pattern. Radiation: Cu Kα (weighted mean of Kα1 and Kα2). Structure: a GGA-PBE-relaxed structure.
Peak positions follow from Bragg's law for the DFT cell and can differ from measured ones.

```
CdIn7Bi5
1.0
6.729 -6.457 0.000
6.729 6.457 0.000
-1.663 0.000 4.514
Cd In Bi
1 7 5
Direct
0.000 0.000 0.000 Cd
0.193 0.193 0.715 In
0.198 0.779 0.506 In
0.362 0.613 0.002 In
0.364 0.364 0.384 In
0.613 0.362 0.002 In
0.624 0.624 0.638 In
0.779 0.198 0.506 In
0.361 0.992 0.193 Bi
0.599 0.979 0.808 Bi
0.835 0.835 0.336 Bi
0.979 0.599 0.808 Bi
0.992 0.361 0.193 Bi
```

Largest 10 diffraction maxima, by angle, 2θ from 15° to 90°:
3.010 Å, 2θ = 29.68°, I = 18
2.870 Å, 2θ = 31.16°, I = 51
2.855 Å, 2θ = 31.33°, I = 100
2.831 Å, 2θ = 31.61°, I = 63
2.530 Å, 2θ = 35.48°, I = 14
2.405 Å, 2θ = 37.39°, I = 40
2.105 Å, 2θ = 42.97°, I = 12
1.806 Å, 2θ = 50.54°, I = 20
1.466 Å, 2θ = 63.47°, I = 14
1.437 Å, 2θ = 64.88°, I = 20

This entry pairs a crystal structure of K2CdInBi2 with its computed powder X-ray diffraction pattern. Radiation: Cu Kα (weighted mean of Kα1 and Kα2). Structure: a GGA-PBE-relaxed structure.
Peak positions follow from Bragg's law for the DFT cell and can differ from measured ones.

```
K2CdInBi2
1.0
-3.675 8.199 3.696
3.675 -8.199 3.696
3.675 8.199 -3.696
K Cd In Bi
4 2 2 4
Direct
0.165 0.248 0.413 K
0.335 0.748 0.084 K
0.665 0.252 0.916 K
0.835 0.752 0.587 K
0.250 0.750 0.500 Cd
0.750 0.250 0.500 Cd
0.250 0.250 0.000 In
0.750 0.750 0.000 In
0.106 0.743 0.849 Bi
0.394 0.243 0.637 Bi
0.606 0.757 0.363 Bi
0.894 0.257 0.151 Bi
```

Largest 10 diffraction maxima, by angle, 2θ from 15° to 90°:
4.399 Å, 2θ = 20.19°, I = 100
3.222 Å, 2θ = 27.68°, I = 32
2.745 Å, 2θ = 32.62°, I = 61
2.736 Å, 2θ = 32.73°, I = 61
2.606 Å, 2θ = 34.41°, I = 68
2.484 Å, 2θ = 36.17°, I = 19
2.420 Å, 2θ = 37.14°, I = 19
2.198 Å, 2θ = 41.06°, I = 20
1.532 Å, 2θ = 60.44°, I = 21
1.527 Å, 2θ = 60.65°, I = 20

This entry pairs a crystal structure of MgCdIn2Bi2 with its computed powder X-ray diffraction pattern. Radiation: Cu Kα (weighted mean of Kα1 and Kα2). Structure: a GGA-PBE-relaxed structure.
Peak positions follow from Bragg's law for the DFT cell and can differ from measured ones.

```
MgCdIn2Bi2
1.0
4.573 0.000 0.000
0.000 10.467 0.000
0.000 0.000 7.084
Mg Cd In Bi
2 2 4 4
Direct
0.000 0.006 0.000 Mg
0.000 0.994 0.500 Mg
0.500 0.156 0.715 Cd
0.500 0.844 0.215 Cd
0.000 0.344 0.454 In
0.000 0.656 0.954 In
0.500 0.493 0.206 In
0.500 0.507 0.706 In
0.000 0.299 0.911 Bi
0.000 0.701 0.411 Bi
0.500 0.140 0.275 Bi
0.500 0.860 0.775 Bi
```

Largest 10 diffraction maxima, by angle, 2θ from 15° to 90°:
4.197 Å, 2θ = 21.17°, I = 26
3.607 Å, 2θ = 24.68°, I = 27
3.444 Å, 2θ = 25.87°, I = 16
2.800 Å, 2θ = 31.96°, I = 93
2.774 Å, 2θ = 32.27°, I = 100
2.485 Å, 2θ = 36.14°, I = 56
2.287 Å, 2θ = 39.41°, I = 35
1.683 Å, 2θ = 54.53°, I = 34
1.481 Å, 2θ = 62.74°, I = 18
1.400 Å, 2θ = 66.82°, I = 15

This entry pairs a crystal structure of NaCdIn2Bi with its computed powder X-ray diffraction pattern. Radiation: Cu Kα (weighted mean of Kα1 and Kα2). Structure: a GGA-PBE-relaxed structure.
Peak positions follow from Bragg's law for the DFT cell and can differ from measured ones.

```
NaCdIn2Bi
1.0
6.638 0.000 0.000
0.000 4.728 0.000
-2.994 0.000 9.520
Na Cd In Bi
2 2 4 2
Direct
0.158 0.250 0.265 Na
0.842 0.750 0.735 Na
0.375 0.750 0.522 Cd
0.625 0.250 0.478 Cd
0.142 0.250 0.604 In
0.410 0.750 0.846 In
0.590 0.250 0.154 In
0.858 0.750 0.396 In
0.147 0.250 0.923 Bi
0.853 0.750 0.077 Bi
```

Largest 10 diffraction maxima, by angle, 2θ from 15° to 90°:
4.760 Å, 2θ = 18.64°, I = 21
4.666 Å, 2θ = 19.02°, I = 34
3.760 Å, 2θ = 23.67°, I = 58
2.681 Å, 2θ = 33.43°, I = 72
2.632 Å, 2θ = 34.07°, I = 100
2.547 Å, 2θ = 35.23°, I = 34
2.364 Å, 2θ = 38.06°, I = 33
1.733 Å, 2θ = 52.83°, I = 21
1.478 Å, 2θ = 62.90°, I = 14
1.411 Å, 2θ = 66.22°, I = 17

This entry pairs a crystal structure of CdIn2NiBi with its computed powder X-ray diffraction pattern. Radiation: Cu Kα (weighted mean of Kα1 and Kα2). Structure: a GGA-PBE-relaxed structure.
Peak positions follow from Bragg's law for the DFT cell and can differ from measured ones.

```
CdIn2NiBi
1.0
4.957 0.000 0.000
0.000 4.957 0.000
0.000 0.000 5.386
Cd In Ni Bi
1 2 1 1
Direct
0.000 0.000 0.000 Cd
0.000 0.500 0.500 In
0.500 0.000 0.500 In
0.500 0.500 0.500 Ni
0.500 0.500 0.000 Bi
```

Largest 10 diffraction maxima, by angle, 2θ from 15° to 90°:
4.957 Å, 2θ = 17.89°, I = 18
2.938 Å, 2θ = 30.43°, I = 100
2.693 Å, 2θ = 33.27°, I = 32
2.479 Å, 2θ = 36.24°, I = 50
1.824 Å, 2θ = 50.01°, I = 40
1.753 Å, 2θ = 52.19°, I = 17
1.598 Å, 2θ = 57.69°, I = 16
1.505 Å, 2θ = 61.62°, I = 27
1.469 Å, 2θ = 63.31°, I = 19
1.181 Å, 2θ = 81.52°, I = 12

Number 2 is which compound?
CdIn5Bi4